For RbCu5F11, DFT lattice parameters and positions (PBE) gives the theoretical powder diffraction line list in this record (a wavelength of 1.5418 Å).
No peak broadening, texture or thermal motion is included.

The 10 most intense peaks (2θ = 15–90°), sorted by position:
2θ (°)	intensity
16.95	100
21.47	68
24.31	30
28.94	56
30.94	33
32.38	21
42.13	31
42.64	52
44.47	36
52.75	24

Structure:
Unit cell a=6.5536 b=6.5536 c=6.9748 alpha=102.61 beta=102.61 gamma=111.10
Fractional coordinates of all 17 atoms:
1 Rb 0.0000 0.0000 0.0000
2 Cu 0.0609 0.3617 0.6343
3 Cu 0.3617 0.0609 0.6343
4 Cu 0.5000 0.5000 0.0000
5 Cu 0.6383 0.9391 0.3657
6 Cu 0.9391 0.6383 0.3657
7 F 0.0000 0.0000 0.5000
8 F 0.1177 0.7018 0.6481
9 F 0.1727 0.4249 0.9264
10 F 0.2982 0.8823 0.3519
11 F 0.3860 0.3860 0.6434
12 F 0.4249 0.1727 0.9264
13 F 0.5751 0.8273 0.0736
14 F 0.6140 0.6140 0.3566
15 F 0.7018 0.1177 0.6481
16 F 0.8273 0.5751 0.0736
17 F 0.8823 0.2982 0.3519